[1]
The following is a theoretical PXRD pattern of Nd3UTl3S8. It was derived from a DFT-relaxed cell (GGA-PBE, Alexandria), using Cu Kα (λ = 1.5418 Å).
No peak broadening, texture or thermal motion is included.

Cell lengths 8.939, 8.939, 8.939 Å; angles 55.18, 55.18, 55.18 degrees
Fractional coordinates of all 15 atoms:
Nd (0.000, 0.500, 0.500)
Nd (0.500, 0.000, 0.500)
Nd (0.500, 0.500, 0.000)
U (0.000, 0.000, 0.000)
Tl (0.000, 0.000, 0.500)
Tl (0.000, 0.500, 0.000)
Tl (0.500, 0.000, 0.000)
S (0.224, 0.224, 0.748)
S (0.224, 0.748, 0.224)
S (0.252, 0.776, 0.776)
S (0.265, 0.265, 0.265)
S (0.735, 0.735, 0.735)
S (0.748, 0.224, 0.224)
S (0.776, 0.252, 0.776)
S (0.776, 0.776, 0.252)

Peak list (8 most intense, 2θ from 5° to 70°, in order of rising 2θ)
Position (°2θ)	I_rel
12.9	26
23.6	28
26.1	59
29.5	100
40.6	38
43.7	35
50.3	24
53.6	18

[2]
The following is a theoretical PXRD pattern of Nd3YTl2S. It was derived from a DFT-relaxed cell (GGA-PBE, Alexandria), using Cu Kα (λ = 1.5418 Å).
No peak broadening, texture or thermal motion is included.

Cell lengths 8.975, 8.975, 8.975 Å; angles 146.73, 145.77, 48.48 degrees
Fractional coordinates of all 7 atoms:
Nd (0.000, 0.000, 0.000)
Nd (0.327, 0.827, 0.500)
Nd (0.673, 0.173, 0.500)
Y (0.500, 0.500, 0.000)
Tl (0.130, 0.630, 0.500)
Tl (0.870, 0.370, 0.500)
S (0.500, 0.000, 0.500)

Peak list (8 most intense, 2θ from 5° to 70°, in order of rising 2θ)
Position (°2θ)	I_rel
24.2	52
26.5	55
32.4	28
32.7	100
32.8	20
33.9	43
34.9	39
49.5	29